[1]
Starting from a structure optimized by DFT (PBE), the powder X-ray diffraction pattern of Ho11In6Si4 was computed for a wavelength of 1.5418 Å.
Peak positions follow from Bragg's law for the DFT cell and can differ from measured ones.

Atomic structure:
Lattice parameters (Å, degrees): 11.417 11.417 11.417 119.88 119.88 90.20
Fractional coordinates of all 42 atoms:
Ho 0.065 0.316 0.749
Ho 0.101 0.448 0.347
Ho 0.101 0.754 0.653
Ho 0.172 0.172 0.000
Ho 0.246 0.899 0.347
Ho 0.316 0.065 0.749
Ho 0.316 0.567 0.251
Ho 0.332 0.332 0.664
Ho 0.332 0.668 0.000
Ho 0.433 0.684 0.749
Ho 0.448 0.101 0.347
Ho 0.552 0.899 0.653
Ho 0.567 0.316 0.251
Ho 0.668 0.332 0.000
Ho 0.668 0.668 0.336
Ho 0.684 0.433 0.749
Ho 0.684 0.935 0.251
Ho 0.754 0.101 0.653
Ho 0.828 0.828 0.000
Ho 0.899 0.246 0.347
Ho 0.899 0.552 0.653
Ho 0.935 0.684 0.251
In 0.034 0.034 0.411
In 0.034 0.623 0.000
In 0.129 0.129 0.257
In 0.129 0.871 0.000
In 0.377 0.377 0.411
In 0.377 0.966 0.000
In 0.623 0.034 0.000
In 0.623 0.623 0.589
In 0.871 0.129 0.000
In 0.871 0.871 0.743
In 0.966 0.377 0.000
In 0.966 0.966 0.589
Si 0.152 0.500 0.652
Si 0.250 0.750 0.500
Si 0.383 0.383 0.000
Si 0.500 0.152 0.652
Si 0.500 0.848 0.348
Si 0.617 0.617 0.000
Si 0.750 0.250 0.500
Si 0.848 0.500 0.348

Top 10 peaks for 5 to 70 degrees two-theta, by intensity:
d [Å], Position (°2θ), I_rel
2.730, 32.80, 100.0
2.695, 33.25, 75.9
2.462, 36.50, 20.5
1.412, 66.16, 20.2
3.110, 28.71, 16.3
1.616, 57.00, 13.2
1.695, 54.09, 12.6
2.104, 42.98, 12.3
1.906, 47.73, 11.3
3.709, 23.99, 10.7

[2]
Starting from a structure optimized by DFT (PBE), the powder X-ray diffraction pattern of Fe2As was computed for a wavelength of 1.5418 Å.
Peak positions follow from Bragg's law for the DFT cell and can differ from measured ones.

Atomic structure:
Lattice parameters (Å, degrees): 3.664 3.664 5.809 90.00 90.00 90.00
Fractional coordinates of all 6 atoms:
Fe 0.250 0.250 0.182
Fe 0.250 0.750 0.500
Fe 0.750 0.250 0.500
Fe 0.750 0.750 0.818
As 0.250 0.250 0.765
As 0.750 0.750 0.235

Top 10 peaks for 5 to 70 degrees two-theta, by intensity:
d [Å], Position (°2θ), I_rel
1.934, 46.99, 100.0
1.832, 49.77, 45.7
2.366, 38.03, 44.3
2.591, 34.62, 21.0
5.809, 15.25, 10.5
2.904, 30.79, 7.5
1.712, 53.53, 6.6
3.099, 28.81, 5.9
1.550, 59.67, 5.1
2.276, 39.60, 4.2